[1]
Calculated powder diffraction line list of PrGdAl6 for Cu Kα (weighted mean of Kα1 and Kα2), from a crystal structure in OQMD, relaxed with GGA-PBE.

Atomic structure:
Cell: 6.4700 6.4700 4.5874 Å, 90.00 90.00 120.00°
Fractional coordinates of all 8 atoms:
Pr (0.0000, 0.0000, 0.0000)
Gd (0.3333, 0.6667, 0.5000)
Al (0.3837, 0.1919, 0.5000)
Al (0.5223, 0.0447, 0.0000)
Al (0.5223, 0.4777, 0.0000)
Al (0.8081, 0.1919, 0.5000)
Al (0.8081, 0.6163, 0.5000)
Al (0.9553, 0.4777, 0.0000)

Principal peaks in the range 2θ = 10–80°, sorted by position:
15.8°, rel. 23
25.1°, rel. 98
27.6°, rel. 49
31.9°, rel. 26
37.6°, rel. 100
39.3°, rel. 21
47.3°, rel. 25
48.7°, rel. 30
63.2°, rel. 19
71.4°, rel. 18

***

[2]
Calculated powder diffraction line list of PrGdAl2 for Cu Kα (weighted mean of Kα1 and Kα2), from a crystal structure in OQMD, relaxed with GGA-PBE.

Atomic structure:
Cell: 5.6953 7.6201 9.1854 Å, 90.00 90.00 90.00°
Fractional coordinates of all 16 atoms:
Pr (0.2500, 0.1598, 0.0000)
Pr (0.2500, 0.6598, 0.5000)
Pr (0.7500, 0.3402, 0.5000)
Pr (0.7500, 0.8402, 0.0000)
Gd (0.2500, 0.1543, 0.6373)
Gd (0.2500, 0.6543, 0.1373)
Gd (0.7500, 0.3457, 0.1373)
Gd (0.7500, 0.8457, 0.6373)
Al (0.0000, 0.0000, 0.3217)
Al (0.0000, 0.5000, 0.8217)
Al (0.2500, 0.3060, 0.3189)
Al (0.2500, 0.8060, 0.8189)
Al (0.5000, 0.0000, 0.3217)
Al (0.5000, 0.5000, 0.8217)
Al (0.7500, 0.1940, 0.8189)
Al (0.7500, 0.6940, 0.3189)

Principal peaks in the range 2θ = 10–80°, sorted by position:
19.3°, rel. 30
21.8°, rel. 29
28.2°, rel. 85
31.4°, rel. 73
34.4°, rel. 59
35.3°, rel. 100
36.7°, rel. 19
37.1°, rel. 23
57.2°, rel. 29
58.5°, rel. 23

***

Which formula does entry 2 have? PrGdAl2